The following is a simulated X-ray diffraction stick pattern of Tb4Dy6Er19. It was derived from the PBE geometry in Alexandria, using Cu Kα X-rays.
Neutral-atom scattering factors, no anomalous dispersion.

Main lines, in order of falling intensity (10° ≤ 2θ ≤ 90°):
- (4 1 1), d = 2.904 Å, 30.8 deg, rel. 100
- (4 3 1), d = 2.416 Å, 37.2 deg, rel. 73
- (4 0 0), d = 3.080 Å, 29.0 deg, rel. 61
- (3 2 1), d = 3.293 Å, 27.1 deg, rel. 49
- (4 2 2), d = 2.515 Å, 35.7 deg, rel. 44
- (7 4 1), d = 1.516 Å, 61.1 deg, rel. 28
- (6 3 3), d = 1.676 Å, 54.8 deg, rel. 25
- (8 2 0), d = 1.494 Å, 62.1 deg, rel. 21

Atomic structure:
Cell: 12.3194 12.3194 12.3194 Å, 90.00 90.00 90.00°
Space group I23 (No. 197)
Asymmetric unit:
Tb: 0.1790 0.1790 0.1790 [8 per cell]
Dy: 0.0000 0.1273 0.5000 [12 per cell]
Er: 0.0000 0.0000 0.0000 [2 per cell]
Er: 0.0000 0.0000 0.2606 [12 per cell]
Er: 0.0631 0.2772 0.7384 [24 per cell]

***

The following is a simulated X-ray diffraction stick pattern of Tb19Dy4Er6. It was derived from the PBE geometry in Alexandria, using Cu Kα X-rays.
Neutral-atom scattering factors, no anomalous dispersion.

Main lines, in order of falling intensity (10° ≤ 2θ ≤ 90°):
- (4 1 1), d = 2.925 Å, 30.6 deg, rel. 100
- (4 1 3), d = 2.434 Å, 36.9 deg, rel. 73
- (4 0 0), d = 3.102 Å, 28.8 deg, rel. 57
- (3 1 2), d = 3.317 Å, 26.9 deg, rel. 48
- (4 2 2), d = 2.533 Å, 35.4 deg, rel. 42
- (7 1 4), d = 1.528 Å, 60.6 deg, rel. 28
- (6 3 3), d = 1.689 Å, 54.3 deg, rel. 25
- (8 0 2), d = 1.505 Å, 61.6 deg, rel. 22

Atomic structure:
Cell: 12.4097 12.4097 12.4097 Å, 90.00 90.00 90.00°
Space group I23 (No. 197)
Asymmetric unit:
Tb: 0.0000 0.0000 0.0000 [2 per cell]
Tb: 0.0000 0.0000 0.2615 [12 per cell]
Tb: 0.0625 0.2631 0.2783 [24 per cell]
Dy: 0.1791 0.1791 0.8209 [8 per cell]
Er: 0.0000 0.3737 0.5000 [12 per cell]

***

The following is a simulated X-ray diffraction stick pattern of Tb2Dy3Er9. It was derived from the PBE geometry in Alexandria, using Cu Kα X-rays.
Neutral-atom scattering factors, no anomalous dispersion.

Main lines, in order of falling intensity (10° ≤ 2θ ≤ 90°):
- (2 0 0), d = 2.776 Å, 32.3 deg, rel. 100
- (1 0 5), d = 2.609 Å, 34.4 deg, rel. 34
- (1 1 4), d = 2.956 Å, 30.2 deg, rel. 23
- (0 3 3), d = 2.884 Å, 31.0 deg, rel. 19
- (3 3 2), d = 1.602 Å, 57.5 deg, rel. 14
- (2 3 3), d = 2.000 Å, 45.3 deg, rel. 13
- (1 2 3), d = 3.032 Å, 29.5 deg, rel. 10
- (1 6 5), d = 1.469 Å, 63.3 deg, rel. 10

Atomic structure:
Cell: 5.5510 10.6701 14.7826 Å, 90.00 90.00 90.00°
Space group Immm (No. 71)
Asymmetric unit:
Tb: 0.0000 0.0000 0.1811 [4 per cell]
Dy: 0.0000 0.2028 0.0000 [4 per cell]
Dy: 0.0000 0.5000 0.0000 [2 per cell]
Er: 0.0000 0.1584 0.3962 [8 per cell]
Er: 0.0000 0.3408 0.2216 [8 per cell]
Er: 0.0000 0.5000 0.5000 [2 per cell]